# 1
For Na2PRuCO7, a DFT-relaxed cell (PBE, the Materials Project) gives the theoretical powder XRD pattern in this record (Cu Kα X-rays).
No peak broadening, texture or thermal motion is included.

Structural model:
a = 5.2476 Å, b = 6.5604 Å, c = 9.1332 Å
α = 90.00°, β = 91.18°, γ = 90.00°
Space group P2_1/m (No. 11)
Inequivalent atoms, fractional coordinates:
Na1 0.2362 0.0047 0.2617 x4
P1 0.2914 0.7500 0.9228 x2
Ru1 0.2184 0.2500 0.8452 x2
C1 0.2751 0.2500 0.5717 x2
O1 0.0561 0.2500 0.6413 x2
O2 0.1587 0.7500 0.0731 x2
O3 0.2087 0.5618 0.8297 x4
O4 0.2900 0.2500 0.4353 x2
O5 0.4125 0.2500 0.0540 x2
O6 0.4720 0.2500 0.6652 x2

Top 10 peaks for 2θ = 15–90°, by angle:
2θ (°), intensity, (hkl)
16.64, 100, 0 1 1
19.69, 31, 1 0 1
21.69, 60, 1 1 0
25.60, 60, 1 0 -2
26.14, 25, 1 0 2
27.19, 52, 0 2 0
33.60, 46, 1 2 -1
33.78, 47, 1 2 1
34.18, 42, 2 0 0
37.08, 29, 1 1 3

=====

# 2
For NaSbPCO7, a DFT-relaxed cell (PBE, the Materials Project) gives the theoretical powder XRD pattern in this record (Cu Kα X-rays).
No peak broadening, texture or thermal motion is included.

Structural model:
a = 5.5471 Å, b = 6.6630 Å, c = 9.2232 Å
α = 90.00°, β = 91.26°, γ = 90.00°
Space group P2_1 (No. 4)
Inequivalent atoms, fractional coordinates:
Na1 0.2380 0.0000 0.2163 x2
Sb1 0.2081 0.7740 0.6482 x2
P1 0.2787 0.2699 0.5739 x2
C1 0.2784 0.7532 0.9229 x2
O1 0.0611 0.7581 0.8531 x2
O2 0.1671 0.2526 0.4170 x2
O3 0.1683 0.4527 0.6545 x2
O4 0.2007 0.0891 0.6695 x2
O5 0.3083 0.7628 0.0546 x2
O6 0.4455 0.7930 0.4378 x2
O7 0.4585 0.7410 0.8272 x2

Top 10 peaks for 2θ = 15–90°, by angle:
2θ (°), intensity, (hkl)
16.41, 100, 0 1 1
18.49, 62, 1 0 -1
18.85, 30, 1 0 1
20.84, 64, 1 1 0
24.84, 26, 1 0 -2
25.39, 53, 1 0 2
26.76, 61, 0 2 0
32.28, 27, 2 0 0
32.72, 25, 1 2 -1
35.72, 30, 1 1 -3

=====

# 3
For Na2ScPCO7, a DFT-relaxed cell (PBE, the Materials Project) gives the theoretical powder XRD pattern in this record (Cu Kα X-rays).
No peak broadening, texture or thermal motion is included.

Structural model:
a = 5.3052 Å, b = 6.7478 Å, c = 9.0597 Å
α = 90.00°, β = 90.41°, γ = 90.00°
Space group P2_1/m (No. 11)
Inequivalent atoms, fractional coordinates:
Na1 0.2356 0.0006 0.2223 x4
Sc1 0.2172 0.2500 0.6427 x2
P1 0.2907 0.7500 0.5757 x2
C1 0.2686 0.2500 0.9266 x2
O1 0.0470 0.2500 0.8617 x2
O2 0.1684 0.7500 0.4176 x2
O3 0.2085 0.5619 0.6593 x4
O4 0.2992 0.2500 0.0647 x2
O5 0.4159 0.2500 0.4426 x2
O6 0.4598 0.2500 0.8330 x2

Top 10 peaks for 2θ = 15–90°, by angle:
2θ (°), intensity, (hkl)
16.38, 79, 0 1 1
23.43, 79, 1 1 -1
25.77, 41, 1 0 -2
25.96, 100, 1 0 2
26.42, 81, 0 2 0
32.99, 89, 1 2 1
33.11, 72, 0 2 2
33.79, 80, 2 0 0
53.57, 47, 1 0 5
54.39, 42, 0 4 0

=====

# 4
For NaSiPCO7, a DFT-relaxed cell (PBE, the Materials Project) gives the theoretical powder XRD pattern in this record (Cu Kα X-rays).
No peak broadening, texture or thermal motion is included.

Structural model:
a = 5.0082 Å, b = 6.0366 Å, c = 9.5488 Å
α = 90.00°, β = 92.92°, γ = 90.00°
Space group P2_1 (No. 4)
Inequivalent atoms, fractional coordinates:
Na1 0.2248 0.0000 0.3071 x2
Si1 0.2220 0.1807 0.8508 x2
P1 0.2651 0.6863 0.9430 x2
C1 0.2960 0.1957 0.6181 x2
O1 0.0580 0.1878 0.6765 x2
O2 0.0824 0.6876 0.0670 x2
O3 0.2089 0.4853 0.8465 x2
O4 0.2160 0.8870 0.8465 x2
O5 0.3375 0.2063 0.4929 x2
O6 0.4373 0.1826 0.0022 x2
O7 0.4819 0.1949 0.7252 x2

Top 10 peaks for 2θ = 15–90°, by angle:
2θ (°), intensity, (hkl)
17.39, 100, 0 1 1
19.62, 31, 1 0 -1
20.47, 53, 1 0 1
23.09, 27, 1 1 0
24.59, 38, 1 1 -1
25.14, 72, 1 0 -2
25.28, 47, 1 1 1
29.60, 69, 0 2 0
35.19, 23, 0 2 2
46.10, 27, 0 3 1